No. 1
The following is a theoretical powder X-ray diffraction pattern of Ba2HoTaS6. It was derived from a crystal structure in Alexandria, relaxed with PBE, using Cu Kα (weighted mean of Kα1 and Kα2).
Intensities are scaled so that the largest is 100.

Principal peaks in the range 2θ from 15° to 90°, most intense first:
h k l	d [Å]	I_rel
1 1 0	3.517	100
0 2 7	2.648	46
1 0 7	4.024	44
0 1 2	5.794	31
2 2 0	1.759	30
1 0 10	3.194	26

Structural model:
a = 7.0347 Å, b = 7.0347 Å, c = 37.5093 Å
α = 90.00°, β = 90.00°, γ = 120.00°
Space group R-3m (No. 166, hexagonal axes)
Inequivalent atoms, fractional coordinates:
Ba  0.0000  0.0000  0.1353 (multiplicity 6)
Ba  0.0000  0.0000  0.3010 (multiplicity 6)
Ho  0.0000  0.0000  0.4137 (multiplicity 6)
Ta  0.0000  0.0000  0.0000 (multiplicity 3)
Ta  0.0000  0.0000  0.5000 (multiplicity 3)
S  0.0029  0.5014  0.1281 (multiplicity 18)
S  0.0096  0.5048  0.7045 (multiplicity 18)

=====

No. 2
The following is a theoretical powder X-ray diffraction pattern of Th2Al8Si2Au5. It was derived from a crystal structure in Alexandria, relaxed with PBE, using Cu Kα (weighted mean of Kα1 and Kα2).
Intensities are scaled so that the largest is 100.

Principal peaks in the range 2θ from 15° to 90°, most intense first:
h k l	d [Å]	I_rel
1 7 0	3.296	100
2 0 0	2.131	74
0 6 1	3.487	70
1 1 1	3.003	62
1 11 1	2.228	48
1 3 1	2.924	38

Structural model:
a = 4.262 Å, b = 36.399 Å, c = 4.260 Å
α = 90.00°, β = 90.00°, γ = 90.00°
Space group Cmmm (No. 65)
Inequivalent atoms, fractional coordinates:
Th  0.000  0.203  0.000 (multiplicity 4)
Al  0.000  0.042  0.500 (multiplicity 4)
Al  0.000  0.126  0.500 (multiplicity 4)
Al  0.000  0.374  0.000 (multiplicity 4)
Al  0.000  0.458  0.000 (multiplicity 4)
Si  0.000  0.266  0.500 (multiplicity 4)
Au  0.000  0.084  0.000 (multiplicity 4)
Au  0.000  0.334  0.500 (multiplicity 4)
Au  0.000  0.500  0.500 (multiplicity 2)

=====

No. 3
The following is a theoretical powder X-ray diffraction pattern of Ac2InHg3Pd6. It was derived from a crystal structure in Alexandria, relaxed with PBE, using Cu Kα (weighted mean of Kα1 and Kα2).
Intensities are scaled so that the largest is 100.

Principal peaks in the range 2θ from 15° to 90°, most intense first:
h k l	d [Å]	I_rel
1 0 3	3.412	100
2 0 0	2.086	68
1 0 7	2.171	66
1 1 6	2.092	55
1 1 0	2.950	48
0 0 10	1.780	45

Structural model:
a = 4.172 Å, b = 4.172 Å, c = 17.794 Å
α = 90.00°, β = 90.00°, γ = 90.00°
Space group P4/mmm (No. 123)
Inequivalent atoms, fractional coordinates:
Ac  0.000  0.000  0.201 (multiplicity 2)
In  0.000  0.000  0.500 (multiplicity 1)
Hg  0.500  0.500  0.000 (multiplicity 1)
Hg  0.500  0.500  0.303 (multiplicity 2)
Pd  0.000  0.500  0.404 (multiplicity 4)
Pd  0.500  0.500  0.149 (multiplicity 2)

=====

No. 4
The following is a theoretical powder X-ray diffraction pattern of K3Tl4Sn. It was derived from a crystal structure in Alexandria, relaxed with PBE, using Cu Kα (weighted mean of Kα1 and Kα2).
Intensities are scaled so that the largest is 100.

Principal peaks in the range 2θ from 15° to 90°, most intense first:
h k l	d [Å]	I_rel
0 4 0	3.001	100
1 2 2	3.178	75
1 3 2	2.736	40
1 2 1	4.474	35
4 4 1	2.121	35
3 2 2	2.613	33

Structural model:
a = 12.979 Å, b = 12.022 Å, c = 7.821 Å
α = 90.00°, β = 90.00°, γ = 90.00°
Space group Pnma (No. 62)
Inequivalent atoms, fractional coordinates:
K  0.065  0.250  0.228 (multiplicity 4)
K  0.152  0.525  0.622 (multiplicity 8)
Tl  0.051  0.750  0.348 (multiplicity 4)
Tl  0.086  0.548  0.108 (multiplicity 8)
Tl  0.188  0.250  0.836 (multiplicity 4)
Sn  0.200  0.750  0.984 (multiplicity 4)

=====

No. 5
The following is a theoretical powder X-ray diffraction pattern of Tb2Sm3S8. It was derived from a crystal structure in Alexandria, relaxed with PBE, using Cu Kα (weighted mean of Kα1 and Kα2).
Intensities are scaled so that the largest is 100.

Principal peaks in the range 2θ from 15° to 90°, most intense first:
h k l	d [Å]	I_rel
1 1 1	4.289	100
4 2 -1	2.608	83
3 1 -1	3.838	80
4 2 1	2.157	69
2 2 -3	1.979	65
2 2 0	3.427	59

Structural model:
a = 13.864 Å, b = 8.070 Å, c = 6.814 Å
α = 90.00°, β = 110.59°, γ = 90.00°
Space group C2/m (No. 12)
Inequivalent atoms, fractional coordinates:
Tb  0.237  0.000  0.155 (multiplicity 4)
Sm  0.000  0.236  0.500 (multiplicity 4)
Sm  0.000  0.500  0.000 (multiplicity 2)
S  0.119  0.000  0.400 (multiplicity 4)
S  0.119  0.500  0.435 (multiplicity 4)
S  0.127  0.267  0.917 (multiplicity 8)

=====

No. 6
The following is a theoretical powder X-ray diffraction pattern of BeV6Co12. It was derived from a crystal structure in Alexandria, relaxed with PBE, using Cu Kα (weighted mean of Kα1 and Kα2).
Intensities are scaled so that the largest is 100.

Principal peaks in the range 2θ from 15° to 90°, most intense first:
h k l	d [Å]	I_rel
4 -3 1	2.012	100
2 1 4	1.888	56
3 1 2	1.905	43
0 3 3	1.999	33
0 1 5	1.974	32
4 -2 3	1.811	22

Structural model:
a = 8.5425 Å, b = 8.5425 Å, c = 10.2422 Å
α = 90.00°, β = 90.00°, γ = 120.00°
Space group R-3 (No. 148, hexagonal axes)
Inequivalent atoms, fractional coordinates:
Be  0.0000  0.0000  0.0000 (multiplicity 3)
V  0.0215  0.6006  0.7156 (multiplicity 18)
Co  0.0291  0.8492  0.8281 (multiplicity 18)
Co  0.0532  0.1984  0.4074 (multiplicity 18)

=====

No. 7
The following is a theoretical powder X-ray diffraction pattern of PmCoAgCl6. It was derived from a crystal structure in Alexandria, relaxed with PBE, using Cu Kα (weighted mean of Kα1 and Kα2).
Intensities are scaled so that the largest is 100.

Principal peaks in the range 2θ from 15° to 90°, most intense first:
h k l	d [Å]	I_rel
1 0 2	4.170	100
1 1 4	2.237	73
1 1 2	2.910	34
3 0 0	1.915	33
2 1 2	2.044	29
2 0 2	2.596	28

Structural model:
a = 6.6349 Å, b = 6.6349 Å, c = 12.1201 Å
α = 90.00°, β = 90.00°, γ = 120.00°
Space group P-31c (No. 163)
Inequivalent atoms, fractional coordinates:
Pm  0.3333  0.6667  0.2500 (multiplicity 2)
Co  0.3333  0.6667  0.7500 (multiplicity 2)
Ag  0.0000  0.0000  0.0000 (multiplicity 2)
Cl  0.0311  0.3644  0.6315 (multiplicity 12)